Record 1
Starting from a cell relaxed with GGA-PBE, the PXRD pattern of PmErGe4 was simulated for Cu Kα X-rays.
Peak positions follow from Bragg's law for the DFT cell and can differ from measured ones.

Atomic structure:
```
PmErGe4
1.0
0.000 4.003 4.003
4.003 0.000 4.003
4.003 4.003 0.000
Pm Er Ge
1 1 4
direct
0.000 0.000 0.000
0.750 0.750 0.750
0.376 0.376 0.376
0.376 0.376 0.872
0.376 0.872 0.376
0.872 0.376 0.376
```

Most intense lines, 2θ = 5–70°, in order of falling intensity:
- 2θ 37.25, intensity 100
- 2θ 31.61, intensity 55
- 2θ 60.04, intensity 33
- 2θ 66.01, intensity 25
- 2θ 56.29, intensity 21
- 2θ 38.97, intensity 19
- 2θ 19.20, intensity 6
- 2θ 49.63, intensity 2
- 2θ 69.45, intensity 1


Record 2
Starting from a cell relaxed with GGA-PBE, the PXRD pattern of Ce3SmNi8 was simulated for Cu Kα X-rays.
Peak positions follow from Bragg's law for the DFT cell and can differ from measured ones.

Atomic structure:
```
Ce3SmNi8
1.0
5.063 0.000 0.000
-2.531 4.384 0.000
0.000 0.000 8.452
Ce Sm Ni
3 1 8
direct
0.000 0.000 0.000
0.000 0.000 0.384
0.333 0.667 0.892
0.333 0.667 0.512
0.341 0.170 0.700
0.503 0.007 0.199
0.503 0.497 0.199
0.667 0.333 0.448
0.667 0.333 0.952
0.830 0.170 0.700
0.830 0.659 0.700
0.993 0.497 0.199
```

Most intense lines, 2θ = 5–70°, in order of falling intensity:
- 2θ 41.59, intensity 100
- 2θ 37.96, intensity 84
- 2θ 35.46, intensity 55
- 2θ 42.61, intensity 54
- 2θ 65.33, intensity 35
- 2θ 67.86, intensity 22
- 2θ 29.35, intensity 14
- 2θ 41.18, intensity 14
- 2θ 42.79, intensity 11
- 2θ 58.52, intensity 11


Record 3
Starting from a cell relaxed with GGA-PBE, the PXRD pattern of NiAu was simulated for Cu Kα X-rays.
Peak positions follow from Bragg's law for the DFT cell and can differ from measured ones.

Atomic structure:
```
NiAu
1.0
9.420 0.000 0.000
0.000 2.825 0.000
-1.334 0.000 4.363
Ni Au
4 4
direct
0.143 0.000 0.363
0.357 0.500 0.637
0.643 0.500 0.363
0.857 0.000 0.637
0.112 0.500 0.837
0.388 0.000 0.163
0.612 0.000 0.837
0.888 0.500 0.163
```

Most intense lines, 2θ = 5–70°, in order of falling intensity:
- 2θ 40.86, intensity 100
- 2θ 44.78, intensity 80
- 2θ 40.33, intensity 50
- 2θ 40.04, intensity 50
- 2θ 33.24, intensity 33
- 2θ 51.59, intensity 33
- 2θ 32.48, intensity 30
- 2θ 23.89, intensity 25
- 2θ 39.29, intensity 16
- 2θ 20.36, intensity 16


Record 4
Starting from a cell relaxed with GGA-PBE, the PXRD pattern of Cd2IrSe was simulated for Cu Kα X-rays.
Peak positions follow from Bragg's law for the DFT cell and can differ from measured ones.

Atomic structure:
```
Cd2IrSe
1.0
3.006 0.000 0.000
0.000 4.737 0.000
0.000 0.000 12.008
Cd Ir Se
4 2 2
direct
0.000 0.000 0.000
0.000 0.500 0.175
0.500 0.000 0.675
0.500 0.500 0.500
0.000 0.500 0.703
0.500 0.000 0.203
0.000 0.000 0.367
0.500 0.500 0.867
```

Most intense lines, 2θ = 5–70°, in order of falling intensity:
- 2θ 38.51, intensity 100
- 2θ 14.75, intensity 38
- 2θ 37.99, intensity 35
- 2θ 20.15, intensity 32
- 2θ 46.88, intensity 28
- 2θ 29.76, intensity 20
- 2θ 37.42, intensity 20
- 2θ 68.97, intensity 18
- 2θ 42.19, intensity 15
- 2θ 45.31, intensity 14


Record 5
Starting from a cell relaxed with GGA-PBE, the PXRD pattern of AcTb12Pm6 was simulated for Cu Kα X-rays.
Peak positions follow from Bragg's law for the DFT cell and can differ from measured ones.

Atomic structure:
```
AcTb12Pm6
1.0
6.710 3.874 4.215
-6.710 3.874 4.215
0.000 -7.748 4.215
Ac Tb Pm
1 12 6
direct
0.000 0.000 0.000
0.081 0.356 0.356
0.241 0.500 0.759
0.241 0.759 0.500
0.356 0.081 0.356
0.356 0.356 0.081
0.500 0.241 0.759
0.500 0.759 0.241
0.644 0.644 0.919
0.644 0.919 0.644
0.759 0.241 0.500
0.759 0.500 0.241
0.919 0.644 0.644
0.102 0.102 0.652
0.102 0.652 0.102
0.348 0.898 0.898
0.652 0.102 0.102
0.898 0.348 0.898
0.898 0.898 0.348
```

Most intense lines, 2θ = 5–70°, in order of falling intensity:
- 2θ 31.59, intensity 100
- 2θ 31.14, intensity 67
- 2θ 31.36, intensity 61
- 2θ 29.28, intensity 57
- 2θ 33.95, intensity 46
- 2θ 34.16, intensity 36
- 2θ 28.58, intensity 35
- 2θ 56.25, intensity 33
- 2θ 54.72, intensity 31
- 2θ 34.37, intensity 30


Record 6
Starting from a cell relaxed with GGA-PBE, the PXRD pattern of NdCdTc2O8 was simulated for Cu Kα X-rays.
Peak positions follow from Bragg's law for the DFT cell and can differ from measured ones.

Atomic structure:
```
NdCdTc2O8
1.0
-2.642 2.642 5.809
2.642 -2.642 5.809
2.642 2.642 -5.809
Nd Cd Tc O
1 1 2 8
direct
0.000 0.000 0.000
0.250 0.750 0.500
0.500 0.500 0.000
0.750 0.250 0.500
0.261 0.669 0.093
0.331 0.423 0.592
0.420 0.010 0.095
0.577 0.168 0.907
0.675 0.580 0.589
0.832 0.739 0.408
0.915 0.325 0.905
0.990 0.085 0.411
```

Most intense lines, 2θ = 5–70°, in order of falling intensity:
- 2θ 28.40, intensity 100
- 2θ 46.47, intensity 30
- 2θ 57.39, intensity 27
- 2θ 33.93, intensity 20
- 2θ 53.29, intensity 17
- 2θ 30.79, intensity 15
- 2θ 48.75, intensity 13
- 2θ 58.77, intensity 11
- 2θ 38.90, intensity 3
- 2θ 64.12, intensity 2


Record 7
Starting from a cell relaxed with GGA-PBE, the PXRD pattern of Ac2TiCdO6 was simulated for Cu Kα X-rays.
Peak positions follow from Bragg's law for the DFT cell and can differ from measured ones.

Atomic structure:
```
Ac2TiCdO6
1.0
5.628 0.000 0.000
0.000 5.628 0.000
0.000 0.000 5.034
Ac Ti Cd O
2 1 1 6
direct
0.000 0.500 0.000
0.500 0.000 0.000
0.000 0.000 0.578
0.500 0.500 0.548
0.000 0.000 0.215
0.230 0.230 0.705
0.230 0.770 0.705
0.500 0.500 0.120
0.770 0.230 0.705
0.770 0.770 0.705
```

Most intense lines, 2θ = 5–70°, in order of falling intensity:
- 2θ 28.59, intensity 100
- 2θ 31.80, intensity 37
- 2θ 54.70, intensity 35
- 2θ 48.53, intensity 26
- 2θ 17.62, intensity 21
- 2θ 45.59, intensity 20
- 2θ 36.58, intensity 17
- 2θ 22.34, intensity 15
- 2θ 42.49, intensity 13
- 2θ 35.67, intensity 12